Entry 1:
# Ca4Al3O10
Theoretical powder X-ray diffraction pattern, Cu Ka. Input: a DFT-relaxed cell (PBE, the Materials Project).

Cell and atoms:
a = 7.593 Å, b = 7.797 Å, c = 8.530 Å
α = 76.93°, β = 76.00°, γ = 83.35°
Element x y z (fractional)
1 Ca 0.027 0.302 0.399
2 Ca 0.192 0.758 0.958
3 Ca 0.387 0.316 0.987
4 Ca 0.453 0.688 0.593
5 Ca 0.547 0.312 0.407
6 Ca 0.613 0.684 0.013
7 Ca 0.808 0.242 0.042
8 Ca 0.973 0.698 0.601
9 Al 0.211 0.375 0.683
10 Al 0.249 0.661 0.297
11 Al 0.401 0.956 0.266
12 Al 0.599 0.044 0.734
13 Al 0.751 0.339 0.703
14 Al 0.789 0.625 0.317
15 O 0.009 0.675 0.310
16 O 0.072 0.051 0.976
17 O 0.201 0.551 0.789
18 O 0.236 0.153 0.234
19 O 0.249 0.821 0.441
20 O 0.274 0.472 0.467
21 O 0.338 0.532 0.136
22 O 0.343 0.847 0.122
23 O 0.398 0.227 0.713
24 O 0.457 0.865 0.763
25 O 0.543 0.135 0.237
26 O 0.602 0.773 0.287
27 O 0.657 0.153 0.878
28 O 0.662 0.468 0.864
29 O 0.726 0.528 0.533
30 O 0.751 0.179 0.559
31 O 0.764 0.847 0.766
32 O 0.799 0.449 0.211
33 O 0.928 0.949 0.024
34 O 0.991 0.325 0.690

Most intense lines, 10 to 90 degrees two-theta, sorted by position:
- hkl 0 1 0, 2θ 11.68, I 100
- hkl 0 1 1, 2θ 14.29, I 93
- hkl 0 2 0, 2θ 23.47, I 88
- hkl 2 1 2, 2θ 28.81, I 90
- hkl 2 1 -1, 2θ 31.42, I 97
- hkl 2 -1 2, 2θ 33.59, I 98
- hkl 0 3 3, 2θ 43.77, I 93
- hkl 2 1 4, 2θ 44.78, I 96


Entry 2:
# CaAl2O4
Theoretical powder X-ray diffraction pattern, Cu Ka. Input: a DFT-relaxed cell (PBE, the Materials Project).

Cell and atoms:
a = 8.836 Å, b = 8.836 Å, c = 8.203 Å
α = 90.00°, β = 90.00°, γ = 120.00°
Element x y z (fractional)
1 Ca 0.000 0.000 0.000
2 Ca 0.000 0.000 0.500
3 Ca 0.333 0.667 0.011
4 Ca 0.333 0.667 0.578
5 Ca 0.667 0.333 0.078
6 Ca 0.667 0.333 0.511
7 Al 0.021 0.339 0.711
8 Al 0.028 0.343 0.318
9 Al 0.315 0.972 0.318
10 Al 0.318 0.979 0.711
11 Al 0.339 0.318 0.211
12 Al 0.343 0.315 0.818
13 Al 0.657 0.685 0.318
14 Al 0.661 0.682 0.711
15 Al 0.682 0.021 0.211
16 Al 0.685 0.028 0.818
17 Al 0.972 0.657 0.818
18 Al 0.979 0.661 0.211
19 O 0.098 0.552 0.793
20 O 0.112 0.226 0.809
21 O 0.113 0.888 0.809
22 O 0.121 0.385 0.515
23 O 0.208 0.791 0.184
24 O 0.209 0.417 0.184
25 O 0.226 0.113 0.309
26 O 0.264 0.879 0.515
27 O 0.385 0.264 0.015
28 O 0.417 0.208 0.684
29 O 0.448 0.546 0.793
30 O 0.454 0.902 0.793
31 O 0.546 0.098 0.293
32 O 0.552 0.454 0.293
33 O 0.583 0.792 0.184
34 O 0.615 0.736 0.515
35 O 0.736 0.121 0.015
36 O 0.774 0.887 0.809
37 O 0.791 0.583 0.684
38 O 0.792 0.209 0.684
39 O 0.879 0.615 0.015
40 O 0.887 0.112 0.309
41 O 0.888 0.774 0.309
42 O 0.902 0.448 0.293

Most intense lines, 10 to 90 degrees two-theta, sorted by position:
- hkl 1 1 1, 2θ 22.86, I 39
- hkl 1 1 2, 2θ 29.72, I 100
- hkl 3 0 0, 2θ 35.18, I 49
- hkl 3 0 1, 2θ 36.90, I 27
- hkl 1 1 3, 2θ 38.73, I 14
- hkl 2 2 2, 2θ 46.71, I 26
- hkl 4 1 2, 2θ 59.80, I 26
- hkl 3 3 0, 2θ 63.13, I 25


Entry 3:
# Ca2AlP2O9
Theoretical powder X-ray diffraction pattern, Cu Ka. Input: a DFT-relaxed cell (PBE, the Materials Project).

Cell and atoms:
a = 7.651 Å, b = 5.671 Å, c = 8.316 Å
α = 90.00°, β = 113.03°, γ = 90.00°
Element x y z (fractional)
1 Ca 0.177 0.250 0.086
2 Ca 0.205 0.750 0.747
3 Ca 0.795 0.250 0.253
4 Ca 0.823 0.750 0.914
5 Al 0.500 0.000 0.500
6 Al 0.500 0.500 0.500
7 P 0.077 0.750 0.316
8 P 0.500 0.250 0.833
9 P 0.500 0.750 0.167
10 P 0.923 0.250 0.684
11 O 0.005 0.250 0.544
12 O 0.013 0.529 0.196
13 O 0.013 0.971 0.196
14 O 0.287 0.750 0.053
15 O 0.304 0.750 0.413
16 O 0.350 0.250 0.392
17 O 0.380 0.250 0.942
18 O 0.446 0.027 0.708
19 O 0.446 0.473 0.708
20 O 0.554 0.527 0.292
21 O 0.554 0.973 0.292
22 O 0.620 0.750 0.058
23 O 0.650 0.750 0.608
24 O 0.696 0.250 0.587
25 O 0.713 0.250 0.947
26 O 0.987 0.029 0.804
27 O 0.987 0.471 0.804
28 O 0.995 0.750 0.456

Most intense lines, 10 to 90 degrees two-theta, sorted by position:
- hkl 1 1 1, 2θ 25.64, I 23
- hkl 2 1 -1, 2θ 28.19, I 100
- hkl 2 1 -2, 2θ 31.24, I 28
- hkl 0 2 0, 2θ 31.55, I 41
- hkl 1 0 -3, 2θ 32.31, I 28
- hkl 1 1 2, 2θ 34.58, I 61
- hkl 2 2 0, 2θ 40.86, I 24
- hkl 1 2 -3, 2θ 45.79, I 29